[1]
LuScPd2: computed X-ray powder pattern (copper Kα), based on a PBE-relaxed structure.

Principal peaks in the range 10° ≤ 2θ ≤ 80°, sorted by position:
two_theta, intensity
22.8, 20
37.6, 100
44.4, 11
54.3, 17
59.6, 5
67.9, 34
72.6, 4

```
LuScPd2
1.0
6.763 0.000 0.000
0.000 6.763 0.000
0.000 0.000 6.763
Lu Sc Pd
4 4 8
Direct
0.000 0.000 0.000
0.000 0.500 0.500
0.500 0.000 0.500
0.500 0.500 0.000
0.000 0.000 0.500
0.000 0.500 0.000
0.500 0.000 0.000
0.500 0.500 0.500
0.250 0.250 0.250
0.250 0.250 0.750
0.250 0.750 0.250
0.250 0.750 0.750
0.750 0.250 0.250
0.750 0.250 0.750
0.750 0.750 0.250
0.750 0.750 0.750
```

[2]
BaMg6NbO8: computed X-ray powder pattern (copper Kα), based on a PBE-relaxed structure.

Principal peaks in the range 10° ≤ 2θ ≤ 80°, sorted by position:
two_theta, intensity
19.8, 35
27.0, 31
28.8, 54
29.9, 23
33.7, 68
38.5, 100
40.2, 40
49.5, 21
55.6, 31
56.9, 52
66.6, 23
70.8, 25

```
BaMg6NbO8
1.0
4.675 0.000 0.000
0.000 4.675 0.000
0.000 0.000 8.978
Ba Mg Nb O
1 6 1 8
Direct
0.000 0.000 0.000
0.000 0.000 0.500
0.000 0.500 0.271
0.000 0.500 0.729
0.500 0.000 0.271
0.500 0.000 0.729
0.500 0.500 0.500
0.500 0.500 0.000
0.000 0.000 0.283
0.000 0.000 0.717
0.000 0.500 0.000
0.000 0.500 0.500
0.500 0.000 0.000
0.500 0.000 0.500
0.500 0.500 0.263
0.500 0.500 0.737
```

[3]
Nd2CdAs2O: computed X-ray powder pattern (copper Kα), based on a PBE-relaxed structure.

Principal peaks in the range 10° ≤ 2θ ≤ 80°, sorted by position:
two_theta, intensity
17.2, 14
23.0, 11
26.2, 100
31.5, 13
34.8, 12
35.1, 15
37.4, 39
39.4, 17
44.1, 24
52.0, 14
53.9, 13
60.9, 18

```
Nd2CdAs2O
1.0
3.401 0.000 0.000
0.000 3.401 0.000
0.000 0.000 15.475
Nd Cd As O
2 1 2 1
Direct
0.000 0.000 0.136
0.000 0.000 0.864
0.000 0.000 0.500
0.000 0.000 0.336
0.000 0.000 0.664
0.000 0.000 0.000
```

[4]
Ho3Cu4Si4: computed X-ray powder pattern (copper Kα), based on a PBE-relaxed structure.

Principal peaks in the range 10° ≤ 2θ ≤ 80°, sorted by position:
two_theta, intensity
22.5, 17
23.8, 23
28.7, 19
35.7, 100
36.8, 83
39.6, 17
40.4, 15
43.9, 28
46.2, 29
57.8, 12
59.6, 15
65.6, 27

```
Ho3Cu4Si4
1.0
-2.063 3.265 6.829
2.063 -3.265 6.829
2.063 3.265 -6.829
Ho Cu Si
3 4 4
Direct
0.000 0.000 0.000
0.371 0.871 0.500
0.629 0.129 0.500
0.022 0.331 0.691
0.360 0.669 0.691
0.640 0.331 0.309
0.978 0.669 0.309
0.216 0.216 0.000
0.315 0.500 0.815
0.685 0.500 0.185
0.784 0.784 0.000
```